Theoretical PXRD pattern of AcCd2Pd2Pb for Cu Kα (λ = 1.5418 Å), from a crystal structure in Alexandria, relaxed with PBE.
Neutral-atom scattering factors, no anomalous dispersion.

Cell and atoms:
```
AcCd2Pd2Pb
1.0
5.371 0.000 0.000
0.000 5.371 0.000
0.000 0.000 11.268
Ac Cd Pd Pb
2 4 4 2
direct
0.000 0.000 0.000 Ac
0.500 0.500 0.500 Ac
0.000 0.500 0.250 Cd
0.000 0.500 0.750 Cd
0.500 0.000 0.250 Cd
0.500 0.000 0.750 Cd
0.000 0.000 0.258 Pd
0.000 0.000 0.742 Pd
0.500 0.500 0.242 Pd
0.500 0.500 0.758 Pd
0.000 0.000 0.500 Pb
0.500 0.500 0.000 Pb
```

Most intense lines, 10 to 90 degrees two-theta, most intense first:
2θ/deg, I/Imax
33.4, 100
46.7, 77
28.3, 77
31.8, 56
23.4, 54
58.6, 39
47.9, 36
39.8, 27
88.5, 26
56.6, 23